No. 1
This entry pairs a crystal structure of Li3Tl3Hg8 with its computed powder XRD pattern. Radiation: a wavelength of 1.5418 Å. Structure: the PBE geometry in Alexandria.

Top 10 peaks for 2θ = 15–90°, low angle first:
Position (°2θ)  d [Å]  I_rel
26.4  3.380  29
30.3  2.950  100
30.4  2.936  21
31.7  2.825  24
32.5  2.754  24
33.7  2.662  18
34.7  2.583  17
40.1  2.247  14
40.7  2.216  31
43.1  2.098  28

Structural model:
```
Li3Tl3Hg8
1.0
7.048 -5.928 0.000
7.048 5.928 0.000
-1.255 0.000 4.254
Li Tl Hg
3 3 8
direct
0.000 0.000 0.000
0.201 0.799 0.500
0.799 0.201 0.500
0.189 0.189 0.676
0.500 0.500 0.000
0.811 0.811 0.324
0.068 0.678 0.885
0.220 0.479 0.361
0.322 0.932 0.115
0.479 0.220 0.361
0.521 0.780 0.639
0.678 0.068 0.885
0.780 0.521 0.639
0.932 0.322 0.115
```



No. 2
This entry pairs a crystal structure of Na12ZnHg3 with its computed powder XRD pattern. Radiation: a wavelength of 1.5418 Å. Structure: the PBE geometry in Alexandria.

Top 10 peaks for 2θ = 15–90°, low angle first:
Position (°2θ)  d [Å]  I_rel
18.2  4.867  99
25.9  3.442  88
31.8  2.810  100
36.8  2.442  17
37.0  2.429  33
41.4  2.182  17
41.5  2.174  35
45.7  1.985  27
53.2  1.722  23
63.5  1.466  27

Structural model:
```
Na12ZnHg3
1.0
4.859 0.000 0.000
0.000 4.859 0.000
0.000 0.000 19.540
Na Zn Hg
12 1 3
direct
0.000 0.000 0.000
0.000 0.000 0.249
0.000 0.000 0.500
0.000 0.000 0.751
0.000 0.500 0.124
0.000 0.500 0.374
0.000 0.500 0.626
0.000 0.500 0.876
0.500 0.000 0.124
0.500 0.000 0.374
0.500 0.000 0.626
0.500 0.000 0.876
0.500 0.500 0.000
0.500 0.500 0.249
0.500 0.500 0.500
0.500 0.500 0.751
```



No. 3
This entry pairs a crystal structure of DyNi6P2 with its computed powder XRD pattern. Radiation: a wavelength of 1.5418 Å. Structure: the PBE geometry in Alexandria.

Top 10 peaks for 2θ = 15–90°, low angle first:
Position (°2θ)  d [Å]  I_rel
26.0  3.433  20
32.8  2.731  24
35.1  2.554  11
40.6  2.222  100
42.0  2.152  18
47.6  1.911  48
48.6  1.875  11
68.7  1.366  11
69.6  1.352  21
83.8  1.155  22

Structural model:
```
DyNi6P2
1.0
3.822 0.000 0.000
0.000 3.822 0.000
0.000 0.000 7.810
Dy Ni P
1 6 2
direct
0.000 0.000 0.000
0.000 0.000 0.500
0.000 0.500 0.293
0.000 0.500 0.707
0.500 0.000 0.293
0.500 0.000 0.707
0.500 0.500 0.500
0.500 0.500 0.151
0.500 0.500 0.849
```



No. 4
This entry pairs a crystal structure of Pm3C2Cl with its computed powder XRD pattern. Radiation: a wavelength of 1.5418 Å. Structure: the PBE geometry in Alexandria.

Top 10 peaks for 2θ = 15–90°, low angle first:
Position (°2θ)  d [Å]  I_rel
26.7  3.344  50
29.2  3.059  100
30.5  2.935  25
30.7  2.914  53
39.9  2.257  100
41.1  2.197  38
53.6  1.709  20
60.9  1.522  26
63.4  1.467  22
67.3  1.391  23

Structural model:
```
Pm3C2Cl
1.0
-3.344 5.827 3.595
3.344 -5.827 3.595
3.344 5.827 -3.595
Pm C Cl
6 4 2
direct
0.000 0.244 0.244
0.000 0.756 0.756
0.500 0.000 0.000
0.500 0.244 0.744
0.500 0.500 0.500
0.500 0.756 0.256
0.291 0.712 0.580
0.368 0.288 0.080
0.632 0.712 0.920
0.709 0.288 0.420
0.144 0.894 0.250
0.856 0.106 0.750
```



No. 5
This entry pairs a crystal structure of Sm5TlHg6 with its computed powder XRD pattern. Radiation: a wavelength of 1.5418 Å. Structure: the PBE geometry in Alexandria.

Top 10 peaks for 2θ = 15–90°, low angle first:
Position (°2θ)  d [Å]  I_rel
33.3  2.692  100
33.4  2.683  23
34.2  2.619  25
47.0  1.934  9
48.6  1.874  16
58.9  1.569  8
59.4  1.556  9
59.6  1.551  14
60.7  1.526  18
69.9  1.346  9

Structural model:
```
Sm5TlHg6
1.0
-2.619 3.869 8.050
2.619 -3.869 8.050
2.619 3.869 -8.050
Sm Tl Hg
5 1 6
direct
0.000 0.000 0.000
0.178 0.678 0.500
0.358 0.358 0.000
0.642 0.642 0.000
0.822 0.322 0.500
0.500 0.000 0.500
0.063 0.827 0.236
0.221 0.500 0.721
0.409 0.173 0.236
0.591 0.827 0.764
0.779 0.500 0.279
0.937 0.173 0.764
```



No. 6
This entry pairs a crystal structure of NpGeTe2N with its computed powder XRD pattern. Radiation: a wavelength of 1.5418 Å. Structure: the PBE geometry in Alexandria.

Top 10 peaks for 2θ = 15–90°, low angle first:
Position (°2θ)  d [Å]  I_rel
22.2  4.003  19
28.3  3.157  100
32.0  2.799  37
32.3  2.769  87
36.2  2.479  44
39.6  2.277  21
46.4  1.958  35
51.8  1.764  15
55.2  1.664  32
60.2  1.537  21

Structural model:
```
NpGeTe2N
1.0
3.916 0.000 0.000
0.000 3.916 0.000
0.000 0.000 16.012
Np Ge Te N
2 2 4 2
direct
0.250 0.250 0.070
0.750 0.750 0.930
0.250 0.250 0.650
0.750 0.750 0.350
0.250 0.250 0.395
0.250 0.250 0.820
0.750 0.750 0.180
0.750 0.750 0.605
0.250 0.750 0.000
0.750 0.250 0.000
```



No. 7
This entry pairs a crystal structure of La5Dy3Sb8 with its computed powder XRD pattern. Radiation: a wavelength of 1.5418 Å. Structure: the PBE geometry in Alexandria.

Top 10 peaks for 2θ = 15–90°, low angle first:
Position (°2θ)  d [Å]  I_rel
24.0  3.704  2
27.8  3.208  100
39.7  2.269  76
49.2  1.852  27
57.4  1.604  13
65.0  1.435  35
72.1  1.310  19
72.2  1.309  6
85.6  1.135  4
85.7  1.134  4

Structural model:
```
La5Dy3Sb8
1.0
4.540 2.621 7.401
-4.540 2.621 7.401
0.000 -5.242 7.401
La Dy Sb
5 3 8
direct
0.000 0.000 0.000
0.000 0.500 0.500
0.500 0.000 0.500
0.500 0.500 0.000
0.500 0.500 0.500
0.000 0.000 0.500
0.000 0.500 0.000
0.500 0.000 0.000
0.241 0.750 0.750
0.246 0.246 0.246
0.250 0.250 0.759
0.250 0.759 0.250
0.750 0.241 0.750
0.750 0.750 0.241
0.754 0.754 0.754
0.759 0.250 0.250
```



No. 8
This entry pairs a crystal structure of Li5SmAu2 with its computed powder XRD pattern. Radiation: a wavelength of 1.5418 Å. Structure: the PBE geometry in Alexandria.

Top 10 peaks for 2θ = 15–90°, low angle first:
Position (°2θ)  d [Å]  I_rel
18.2  4.887  18
21.7  4.101  62
24.7  3.610  18
30.8  2.904  100
36.8  2.443  14
41.9  2.154  13
43.1  2.099  19
44.1  2.052  50
50.6  1.805  13
64.2  1.451  24

Structural model:
```
Li5SmAu2
1.0
4.021 0.000 0.000
0.000 8.203 0.000
0.000 0.000 9.774
Li Sm Au
10 2 4
direct
0.000 0.000 0.000
0.000 0.314 0.339
0.000 0.314 0.661
0.000 0.686 0.339
0.000 0.686 0.661
0.500 0.186 0.161
0.500 0.186 0.839
0.500 0.500 0.500
0.500 0.814 0.161
0.500 0.814 0.839
0.000 0.500 0.000
0.500 0.000 0.500
0.000 0.000 0.269
0.000 0.000 0.731
0.500 0.500 0.231
0.500 0.500 0.769
```



What is the formula in the second record?
Na12ZnHg3